Theoretical X-ray diffraction stick pattern of Li2HoPCO7 for Cu Kα (weighted mean of Kα1 and Kα2), from a structure optimized by DFT (PBE).

Main lines, in order of rising 2θ (10° ≤ 2θ ≤ 90°):
| 2theta | I_rel |
| --- | --- |
| 16.4 | 711 |
| 20.2 | 369 |
| 21.0 | 285 |
| 22.3 | 575 |
| 26.3 | 1000 |
| 27.5 | 264 |
| 33.4 | 195 |
| 37.5 | 221 |
| 38.4 | 209 |
| 40.2 | 247 |
| 44.9 | 225 |
| 45.6 | 204 |

Crystal structure
```
data_Li2HoPCO7
_symmetry_space_group_name_H-M 'P 1'
_symmetry_Int_Tables_number 1
_symmetry_space_group_name_Hall 'P 1'
_cell_length_a 4.922
_cell_length_b 6.775
_cell_length_c 8.989
_cell_angle_alpha 90.00
_cell_angle_beta 92.77
_cell_angle_gamma 90.00
loop_
_atom_site_label
_atom_site_fract_x
_atom_site_fract_y
_atom_site_fract_z
Li1 0.208 0.016 0.294
Li2 0.208 0.484 0.294
Li3 0.792 0.516 0.706
Li4 0.792 0.984 0.706
Ho1 0.254 0.250 0.860
Ho2 0.746 0.750 0.140
P1 0.277 0.750 0.910
P2 0.723 0.250 0.090
C1 0.261 0.250 0.557
C2 0.739 0.750 0.443
O1 0.027 0.250 0.621
O2 0.146 0.565 0.837
O3 0.146 0.935 0.837
O4 0.236 0.750 0.083
O5 0.279 0.250 0.417
O6 0.409 0.250 0.103
O7 0.479 0.250 0.649
O8 0.521 0.750 0.351
O9 0.591 0.750 0.897
O10 0.721 0.750 0.583
O11 0.764 0.250 0.917
O12 0.854 0.065 0.163
O13 0.854 0.435 0.163
O14 0.973 0.750 0.379
```

Theoretical X-ray diffraction stick pattern of Ho10Mn13C18 for Cu Kα (weighted mean of Kα1 and Kα2), from a structure optimized by DFT (PBE).

Main lines, in order of rising 2θ (10° ≤ 2θ ≤ 90°):
| 2theta | I_rel |
| --- | --- |
| 28.1 | 258 |
| 30.8 | 1000 |
| 33.4 | 795 |
| 35.8 | 614 |
| 38.0 | 582 |
| 42.2 | 177 |
| 46.1 | 236 |
| 51.5 | 234 |
| 53.2 | 224 |
| 56.5 | 479 |
| 65.8 | 170 |
| 68.7 | 258 |

Crystal structure
```
data_Ho10Mn13C18
_symmetry_space_group_name_H-M 'P 1'
_symmetry_Int_Tables_number 1
_symmetry_space_group_name_Hall 'P 1'
_cell_length_a 8.696
_cell_length_b 8.696
_cell_length_c 8.696
_cell_angle_alpha 109.47
_cell_angle_beta 109.47
_cell_angle_gamma 109.47
loop_
_atom_site_label
_atom_site_fract_x
_atom_site_fract_y
_atom_site_fract_z
Ho1 0.000 0.000 0.409
Ho2 0.000 0.409 0.000
Ho3 0.250 0.500 0.750
Ho4 0.250 0.750 0.500
Ho5 0.409 0.000 0.000
Ho6 0.500 0.250 0.750
Ho7 0.500 0.750 0.250
Ho8 0.591 0.591 0.591
Ho9 0.750 0.250 0.500
Ho10 0.750 0.500 0.250
Mn1 0.000 0.000 0.000
Mn2 0.000 0.666 0.820
Mn3 0.000 0.820 0.666
Mn4 0.154 0.334 0.334
Mn5 0.180 0.180 0.846
Mn6 0.180 0.846 0.180
Mn7 0.334 0.154 0.334
Mn8 0.334 0.334 0.154
Mn9 0.666 0.000 0.820
Mn10 0.666 0.820 0.000
Mn11 0.820 0.000 0.666
Mn12 0.820 0.666 0.000
Mn13 0.846 0.180 0.180
C1 0.000 0.220 0.704
C2 0.000 0.431 0.431
C3 0.000 0.569 0.569
C4 0.000 0.704 0.220
C5 0.220 0.000 0.704
C6 0.220 0.704 0.000
C7 0.296 0.296 0.516
C8 0.296 0.516 0.296
C9 0.431 0.000 0.431
C10 0.431 0.431 0.000
C11 0.484 0.780 0.780
C12 0.516 0.296 0.296
C13 0.569 0.000 0.569
C14 0.569 0.569 0.000
C15 0.704 0.000 0.220
C16 0.704 0.220 0.000
C17 0.780 0.484 0.780
C18 0.780 0.780 0.484
```

Theoretical X-ray diffraction stick pattern of Ho2Mn17C3 for Cu Kα (weighted mean of Kα1 and Kα2), from a structure optimized by DFT (PBE).

Main lines, in order of rising 2θ (10° ≤ 2θ ≤ 90°):
| 2theta | I_rel |
| --- | --- |
| 30.1 | 566 |
| 34.0 | 240 |
| 36.6 | 396 |
| 40.9 | 490 |
| 42.5 | 830 |
| 42.8 | 1000 |
| 43.7 | 372 |
| 46.3 | 236 |
| 61.9 | 297 |
| 62.6 | 225 |
| 77.8 | 155 |
| 79.7 | 175 |

Crystal structure
```
data_Ho2Mn17C3
_symmetry_space_group_name_H-M 'P 1'
_symmetry_Int_Tables_number 1
_symmetry_space_group_name_Hall 'P 1'
_cell_length_a 8.504
_cell_length_b 8.504
_cell_length_c 8.281
_cell_angle_alpha 90.00
_cell_angle_beta 90.00
_cell_angle_gamma 120.00
loop_
_atom_site_label
_atom_site_fract_x
_atom_site_fract_y
_atom_site_fract_z
Ho1 0.000 0.000 0.250
Ho2 0.000 0.000 0.750
Ho3 0.333 0.667 0.250
Ho4 0.667 0.333 0.750
Mn1 0.000 0.500 0.000
Mn2 0.000 0.500 0.500
Mn3 0.061 0.389 0.750
Mn4 0.061 0.672 0.750
Mn5 0.169 0.338 0.026
Mn6 0.169 0.338 0.474
Mn7 0.169 0.831 0.026
Mn8 0.169 0.831 0.474
Mn9 0.328 0.389 0.750
Mn10 0.328 0.939 0.750
Mn11 0.333 0.667 0.606
Mn12 0.333 0.667 0.894
Mn13 0.338 0.169 0.526
Mn14 0.338 0.169 0.974
Mn15 0.389 0.061 0.250
Mn16 0.389 0.328 0.250
Mn17 0.500 0.000 0.000
Mn18 0.500 0.000 0.500
Mn19 0.500 0.500 0.000
Mn20 0.500 0.500 0.500
Mn21 0.611 0.672 0.750
Mn22 0.611 0.939 0.750
Mn23 0.662 0.831 0.026
Mn24 0.662 0.831 0.474
Mn25 0.667 0.333 0.106
Mn26 0.667 0.333 0.394
Mn27 0.672 0.061 0.250
Mn28 0.672 0.611 0.250
Mn29 0.831 0.169 0.526
Mn30 0.831 0.169 0.974
Mn31 0.831 0.662 0.526
Mn32 0.831 0.662 0.974
Mn33 0.939 0.328 0.250
Mn34 0.939 0.611 0.250
C1 0.165 0.331 0.250
C2 0.165 0.835 0.250
C3 0.331 0.165 0.750
C4 0.669 0.835 0.250
C5 0.835 0.165 0.750
C6 0.835 0.669 0.750
```

Theoretical X-ray diffraction stick pattern of Ho12Mn5C15 for Cu Kα (weighted mean of Kα1 and Kα2), from a structure optimized by DFT (PBE).

Main lines, in order of rising 2θ (10° ≤ 2θ ≤ 90°):
| 2theta | I_rel |
| --- | --- |
| 26.1 | 90 |
| 26.6 | 113 |
| 31.7 | 1000 |
| 34.4 | 143 |
| 34.8 | 99 |
| 35.8 | 307 |
| 35.9 | 272 |
| 40.0 | 75 |
| 50.5 | 147 |
| 51.6 | 189 |
| 60.0 | 103 |
| 61.7 | 157 |

Crystal structure
```
data_Ho12Mn5C15
_symmetry_space_group_name_H-M 'P 1'
_symmetry_Int_Tables_number 1
_symmetry_space_group_name_Hall 'P 1'
_cell_length_a 10.420
_cell_length_b 10.420
_cell_length_c 5.021
_cell_angle_alpha 90.00
_cell_angle_beta 90.00
_cell_angle_gamma 120.00
loop_
_atom_site_label
_atom_site_fract_x
_atom_site_fract_y
_atom_site_fract_z
Ho1 0.000 0.429 0.000
Ho2 0.000 0.794 0.000
Ho3 0.185 0.730 0.500
Ho4 0.206 0.206 0.000
Ho5 0.270 0.455 0.500
Ho6 0.429 0.000 0.000
Ho7 0.455 0.270 0.500
Ho8 0.545 0.815 0.500
Ho9 0.571 0.571 0.000
Ho10 0.730 0.185 0.500
Ho11 0.794 0.000 0.000
Ho12 0.815 0.545 0.500
Mn1 0.000 0.153 0.500
Mn2 0.153 0.000 0.500
Mn3 0.333 0.667 0.000
Mn4 0.667 0.333 0.000
Mn5 0.847 0.847 0.500
C1 0.000 0.324 0.500
C2 0.000 0.454 0.500
C3 0.000 0.798 0.500
C4 0.192 0.716 0.000
C5 0.202 0.202 0.500
C6 0.284 0.476 0.000
C7 0.324 0.000 0.500
C8 0.454 0.000 0.500
C9 0.476 0.284 0.000
C10 0.524 0.808 0.000
C11 0.546 0.546 0.500
C12 0.676 0.676 0.500
C13 0.716 0.192 0.000
C14 0.798 0.000 0.500
C15 0.808 0.524 0.000
```

Theoretical X-ray diffraction stick pattern of Ho2Mo2C3 for Cu Kα (weighted mean of Kα1 and Kα2), from a structure optimized by DFT (PBE).

Main lines, in order of rising 2θ (10° ≤ 2θ ≤ 90°):
| 2theta | I_rel |
| --- | --- |
| 26.8 | 157 |
| 32.1 | 452 |
| 33.3 | 439 |
| 33.6 | 1000 |
| 36.7 | 870 |
| 41.8 | 245 |
| 51.6 | 128 |
| 54.2 | 164 |
| 56.1 | 142 |
| 57.6 | 144 |
| 64.4 | 151 |
| 65.1 | 161 |

Crystal structure
```
data_Ho2Mo2C3
_symmetry_space_group_name_H-M 'P 1'
_symmetry_Int_Tables_number 1
_symmetry_space_group_name_Hall 'P 1'
_cell_length_a 11.339
_cell_length_b 3.385
_cell_length_c 5.692
_cell_angle_alpha 90.00
_cell_angle_beta 108.22
_cell_angle_gamma 90.00
loop_
_atom_site_label
_atom_site_fract_x
_atom_site_fract_y
_atom_site_fract_z
Ho1 0.114 0.000 0.319
Ho2 0.386 0.500 0.681
Ho3 0.614 0.500 0.319
Ho4 0.886 0.000 0.681
Mo1 0.149 0.500 0.873
Mo2 0.351 0.000 0.127
Mo3 0.649 0.000 0.873
Mo4 0.851 0.500 0.127
C1 0.000 0.500 0.000
C2 0.229 0.000 0.757
C3 0.271 0.500 0.243
C4 0.500 0.000 0.000
C5 0.729 0.500 0.757
C6 0.771 0.000 0.243
```

Theoretical X-ray diffraction stick pattern of Ho2Mo2C3 for Cu Kα (weighted mean of Kα1 and Kα2), from a structure optimized by DFT (PBE).

Main lines, in order of rising 2θ (10° ≤ 2θ ≤ 90°):
| 2theta | I_rel |
| --- | --- |
| 27.7 | 165 |
| 30.9 | 273 |
| 31.6 | 392 |
| 33.1 | 430 |
| 33.9 | 237 |
| 34.4 | 1000 |
| 36.2 | 924 |
| 43.4 | 369 |
| 50.2 | 210 |
| 55.0 | 180 |
| 55.9 | 183 |
| 58.7 | 164 |

Crystal structure
```
data_Ho2Mo2C3
_symmetry_space_group_name_H-M 'P 1'
_symmetry_Int_Tables_number 1
_symmetry_space_group_name_Hall 'P 1'
_cell_length_a 11.704
_cell_length_b 3.339
_cell_length_c 5.710
_cell_angle_alpha 90.00
_cell_angle_beta 112.17
_cell_angle_gamma 90.00
loop_
_atom_site_label
_atom_site_fract_x
_atom_site_fract_y
_atom_site_fract_z
Ho1 0.110 0.000 0.326
Ho2 0.390 0.500 0.674
Ho3 0.610 0.500 0.326
Ho4 0.890 0.000 0.674
Mo1 0.157 0.500 0.826
Mo2 0.343 0.000 0.174
Mo3 0.657 0.000 0.826
Mo4 0.843 0.500 0.174
C1 0.000 0.500 0.500
C2 0.248 0.500 0.234
C3 0.252 0.000 0.766
C4 0.500 0.000 0.500
C5 0.748 0.000 0.234
C6 0.752 0.500 0.766
```